This entry pairs a crystal structure of RbLiMn2I8 with its theoretical powder diffraction line list. Radiation: copper Kα. Structure: a structure optimized by DFT (PBE).
Kinematic intensities with the Lorentz-polarization factor, no thermal factor.

Structure:
Unit cell a=7.382 b=7.382 c=10.338 alpha=90.00 beta=90.00 gamma=120.00
Atoms (fractional coordinates):
Rb: 0.000 0.000 0.000
Li: 0.000 0.000 0.500
Mn: 0.333 0.667 0.747
Mn: 0.667 0.333 0.253
I: 0.000 0.325 0.674
I: 0.000 0.675 0.326
I: 0.325 0.000 0.674
I: 0.325 0.325 0.326
I: 0.333 0.667 0.997
I: 0.667 0.333 0.003
I: 0.675 0.000 0.326
I: 0.675 0.675 0.674

Top 10 peaks for 10° ≤ 2θ ≤ 90°, sorted by position:
2theta	I/Imax
25.6	100
25.9	33
29.7	56
42.4	31
42.7	30
50.2	15
50.3	30
50.6	14
52.7	11
67.8	12

***

This entry pairs a crystal structure of Cs2IrOsF6 with its theoretical powder diffraction line list. Radiation: copper Kα. Structure: a structure optimized by DFT (PBE).
Kinematic intensities with the Lorentz-polarization factor, no thermal factor.

Structure:
Unit cell a=6.318 b=6.318 c=6.318 alpha=119.96 beta=119.96 gamma=90.07
Atoms (fractional coordinates):
Cs: 0.250 0.750 0.500
Cs: 0.750 0.250 0.500
Ir: 0.000 0.000 0.000
Os: 0.500 0.500 0.000
F: 0.266 0.266 0.000
F: 0.266 0.266 0.532
F: 0.266 0.734 0.000
F: 0.734 0.266 0.000
F: 0.734 0.734 0.000
F: 0.734 0.734 0.468

Top 10 peaks for 10° ≤ 2θ ≤ 90°, sorted by position:
2theta	I/Imax
19.9	8
28.2	100
40.4	30
45.4	4
50.0	42
58.4	20
66.1	19
73.4	6
80.4	22
87.2	2

***

This entry pairs a crystal structure of Tb3Dy2Er with its theoretical powder diffraction line list. Radiation: copper Kα. Structure: a structure optimized by DFT (PBE).
Kinematic intensities with the Lorentz-polarization factor, no thermal factor.

Structure:
Unit cell a=7.134 b=7.140 c=8.780 alpha=78.25 beta=78.29 gamma=60.04
Atoms (fractional coordinates):
Tb: 0.139 0.138 0.167
Tb: 0.250 0.250 0.500
Tb: 0.361 0.861 0.834
Tb: 0.639 0.139 0.166
Tb: 0.750 0.750 0.500
Tb: 0.861 0.862 0.833
Dy: 0.139 0.638 0.166
Dy: 0.361 0.362 0.833
Dy: 0.639 0.638 0.167
Dy: 0.861 0.362 0.834
Er: 0.250 0.750 0.500
Er: 0.750 0.250 0.500

Top 10 peaks for 10° ≤ 2θ ≤ 90°, sorted by position:
2theta	I/Imax
29.1	37
31.4	49
32.2	100
33.9	87
40.6	15
51.2	38
55.3	22
58.7	18
61.3	44
61.7	16